Computed XRD peak list
Compound: NdTl2RuO6
Radiation: Cu Ka
Structure: a PBE-relaxed structure
Lines closer than 0.1° are merged.

Most intense lines, 10 to 90 degrees two-theta, sorted by position:
two_theta  Rel. int.
14.88  62
22.13  49
28.41  100
30.02  24
32.22  45
36.30  21
41.81  81
50.30  21
59.70  29
88.69  19

Cell and atoms:
```
NdTl2RuO6
1.0
6.2834 0.0000 0.0000
-3.1417 5.4416 0.0000
0.0000 0.0000 5.9527
Nd Tl Ru O
1 2 1 6
direct
0.0000 0.0000 0.0000
0.3333 0.6667 0.5153
0.6667 0.3333 0.4847
0.0000 0.0000 0.5000
0.1427 0.2854 0.3045
0.1427 0.8573 0.3045
0.2854 0.1427 0.6955
0.7146 0.8573 0.3045
0.8573 0.1427 0.6955
0.8573 0.7146 0.6955
```

Computed XRD peak list
Compound: TlSnSb
Radiation: Cu Ka
Structure: a PBE-relaxed structure
Lines closer than 0.1° are merged.

Most intense lines, 10 to 90 degrees two-theta, sorted by position:
two_theta  Rel. int.
23.82  16
32.04  100
32.17  57
44.59  14
46.14  21
57.03  13
57.27  39
59.21  12
76.53  18
78.18  11

Cell and atoms:
```
TlSnSb
1.0
3.9350 0.0000 0.0000
0.0000 3.9350 0.0000
0.0000 0.0000 11.8990
Tl Sn Sb
2 2 2
direct
0.0000 0.0000 0.0000
0.5000 0.5000 0.5000
0.0000 0.0000 0.3021
0.5000 0.5000 0.8021
0.0000 0.0000 0.6885
0.5000 0.5000 0.1885
```

Computed XRD peak list
Compound: Ce2SmFe2N6
Radiation: Cu Ka
Structure: a PBE-relaxed structure
Lines closer than 0.1° are merged.

Most intense lines, 10 to 90 degrees two-theta, sorted by position:
two_theta  Rel. int.
19.11  18
30.72  100
32.30  86
45.17  42
53.60  21
56.62  36
57.60  16
67.60  13
73.50  16
76.07  14

Cell and atoms:
```
Ce2SmFe2N6
1.0
2.7717 1.6003 6.0996
-2.7717 1.6003 6.0996
0.0000 -3.2005 6.0996
Ce Sm Fe N
2 1 2 6
direct
0.2044 0.2044 0.2044
0.7956 0.7956 0.7956
0.0000 0.0000 0.0000
0.4086 0.4086 0.4086
0.5914 0.5914 0.5914
0.2261 0.7361 0.7361
0.2639 0.2639 0.7739
0.2639 0.7739 0.2639
0.7361 0.2261 0.7361
0.7361 0.7361 0.2261
0.7739 0.2639 0.2639
```

Computed XRD peak list
Compound: BaAc2H
Radiation: Cu Ka
Structure: a PBE-relaxed structure
Lines closer than 0.1° are merged.

Most intense lines, 10 to 90 degrees two-theta, sorted by position:
two_theta  Rel. int.
24.63  49
25.82  100
27.95  37
29.16  18
32.19  38
33.96  77
45.26  37
52.17  59
54.77  23
88.78  19

Cell and atoms:
```
BaAc2H
1.0
4.0075 0.0000 0.0000
-2.0038 3.4706 0.0000
0.0000 0.0000 32.5326
Ba Ac H
3 6 3
direct
0.0000 0.0000 0.0000
0.3333 0.6667 0.6667
0.6667 0.3333 0.3333
0.0000 0.0000 0.1202
0.0000 0.0000 0.8798
0.3333 0.6667 0.5465
0.3333 0.6667 0.7868
0.6667 0.3333 0.2132
0.6667 0.3333 0.4535
0.0000 0.0000 0.5000
0.3333 0.6667 0.1667
0.6667 0.3333 0.8333
```

Computed XRD peak list
Compound: PdSe6Cl3
Radiation: Cu Ka
Structure: a PBE-relaxed structure
Lines closer than 0.1° are merged.

Most intense lines, 10 to 90 degrees two-theta, sorted by position:
two_theta  Rel. int.
11.97  100
12.34  90
13.21  51
24.42  25
30.64  36
33.02  63
33.17  61
33.72  20
46.99  20
48.02  19

Cell and atoms:
```
PdSe6Cl3
1.0
8.6763 0.0000 0.0000
-3.1963 8.3561 0.0000
-1.4015 -4.2792 7.7462
Pd Se Cl
2 12 6
direct
0.0000 0.0000 0.0000
0.5000 0.5000 0.5000
0.0620 0.3362 0.1357
0.1308 0.0580 0.3064
0.1783 0.3881 0.4380
0.3132 0.1268 0.9892
0.3484 0.4356 0.0973
0.4333 0.1791 0.3085
0.5667 0.8209 0.6915
0.6516 0.5644 0.9027
0.6868 0.8732 0.0108
0.8217 0.6119 0.5620
0.8692 0.9420 0.6936
0.9380 0.6638 0.8643
0.1144 0.7390 0.1942
0.2329 0.0658 0.6843
0.2640 0.7574 0.8337
0.7360 0.2426 0.1663
0.7671 0.9342 0.3157
0.8856 0.2610 0.8058
```

Computed XRD peak list
Compound: LiPaPd3
Radiation: Cu Ka
Structure: a PBE-relaxed structure
Lines closer than 0.1° are merged.

Most intense lines, 10 to 90 degrees two-theta, sorted by position:
two_theta  Rel. int.
11.83  82
30.20  32
31.48  25
37.02  100
39.43  26
39.84  77
40.75  42
40.98  21
52.95  20
62.57  19

Cell and atoms:
```
LiPaPd3
1.0
7.6235 -1.7294 0.0000
7.6235 1.7294 0.0000
-1.3136 0.0000 6.6951
Li Pa Pd
2 2 6
direct
0.2156 0.2156 0.3587
0.7844 0.7844 0.6413
0.0166 0.0166 0.7826
0.9834 0.9834 0.2174
0.1963 0.1963 0.8500
0.3821 0.3821 0.8937
0.4027 0.4027 0.4673
0.5973 0.5973 0.5327
0.6179 0.6179 0.1063
0.8037 0.8037 0.1500
```